Computed XRD peak list
Compound: Te2O3F2
Radiation: Cu Kα X-rays
Structure: a crystal structure in the Materials Project, relaxed with PBE

Most intense lines, 15° ≤ 2θ ≤ 90°, in order of rising 2θ:
- 2θ 21.68, d = 4.099 Å, I 28, (1 -1 0)
- 2θ 22.70, d = 3.918 Å, I 18, (1 1 -1)
- 2θ 23.77, d = 3.743 Å, I 100, (1 1 0)
- 2θ 26.92, d = 3.312 Å, I 36, (0 0 2)
- 2θ 27.25, d = 3.272 Å, I 22, (1 -1 1)
- 2θ 28.83, d = 3.097 Å, I 31, (1 1 -2)
- 2θ 33.58, d = 2.669 Å, I 30, (2 0 -1)
- 2θ 35.82, d = 2.507 Å, I 24, (0 2 -2)
- 2θ 42.50, d = 2.127 Å, I 22, (1 1 2)
- 2θ 43.54, d = 2.079 Å, I 16, (-1 1 3)
- 2θ 54.46, d = 1.685 Å, I 13, (-3 1 2)
- 2θ 58.08, d = 1.588 Å, I 10, (0 2 -4)

Crystal structure
a b c (Å): 5.3443 6.3125 7.1269
angles (deg): 99.46 108.97 91.95
Atoms (fractional coordinates):
Te: 0.0978 0.4030 0.2035
Te: 0.3764 0.0158 0.7638
Te: 0.6236 0.9842 0.2362
Te: 0.9022 0.5970 0.7965
O: 0.0403 0.8643 0.7186
O: 0.1467 0.6779 0.0658
O: 0.3842 0.1534 0.0654
O: 0.6158 0.8466 0.9346
O: 0.8533 0.3221 0.9342
O: 0.9597 0.1357 0.2814
F: 0.1670 0.4386 0.7090
F: 0.4181 0.7940 0.5381
F: 0.5819 0.2060 0.4619
F: 0.8330 0.5614 0.2910